Theoretical PXRD pattern
Compound: Ac2ScGePt6
Radiation: Cu Kα X-rays
Structure: a structure optimized by DFT (PBE)

Cell and atoms:
```
Ac2ScGePt6
1.0
0.0000 4.8963 4.8963
4.8963 0.0000 4.8963
4.8963 4.8963 0.0000
Ac Sc Ge Pt
2 1 1 6
Cartesian
2.4482 2.4482 2.4482
7.3445 7.3445 7.3445
0.0000 0.0000 0.0000
4.8963 4.8963 4.8963
4.8963 4.8963 2.5149
4.8963 2.5149 4.8963
7.2778 4.8963 4.8963
2.5149 4.8963 4.8963
4.8963 7.2778 4.8963
4.8963 4.8963 7.2778
```

Largest 6 diffraction maxima, low angle first, 15 to 90 degrees two-theta:
2theta	I/Imax
31.65	100
36.71	69
52.89	49
62.96	43
86.68	18
89.52	23